# 1
This entry pairs a crystal structure of Ca5Ag2N4 with its simulated X-ray powder pattern. Radiation: Cu Kα (λ = 1.5418 Å). Structure: a PBE-relaxed structure.
Kinematic intensities with the Lorentz-polarization factor, no thermal factor.

```
data_Ca5Ag2N4
_space_group_name_H-M_alt 'P 4/n c c'
_space_group_IT_number 130
_cell_length_a 7.9893
_cell_length_b 7.9893
_cell_length_c 13.3938
_cell_angle_alpha 90.00
_cell_angle_beta 90.00
_cell_angle_gamma 90.00
loop_
_space_group_symop_operation_xyz
'x,y,z'
'-x,-y,-z'
'-y+1/2,x,z'
'y+1/2,-x,-z'
'-x+1/2,-y+1/2,z'
'x+1/2,y+1/2,-z'
'y,-x+1/2,z'
'-y,x+1/2,-z'
'x+1/2,-y,-z+1/2'
'-x+1/2,y,z+1/2'
'-y,-x,-z+1/2'
'y,x,z+1/2'
'-x,y+1/2,-z+1/2'
'x,-y+1/2,z+1/2'
'y+1/2,x+1/2,-z+1/2'
'-y+1/2,-x+1/2,z+1/2'
loop_
_atom_site_label
_atom_site_fract_x
_atom_site_fract_y
_atom_site_fract_z
_atom_site_occupancy
Ca1 0.0776 0.6327 0.0834 1
Ca2 0.2500 0.2500 0.1281 1
Ag1 0.0950 0.5950 0.7500 1
N1 0.0506 0.6377 0.9043 1
```

Top 6 peaks for 10 to 90 degrees two-theta, in order of rising 2θ:
2θ (°)  I_rel  h k l
13.2  197  0 0 2
15.7  228  1 1 0
25.8  466  2 1 1
32.1  1000  2 1 3
35.5  418  3 1 0
40.4  183  0 0 6



# 2
This entry pairs a crystal structure of CaAgN with its simulated X-ray powder pattern. Radiation: Cu Kα (λ = 1.5418 Å). Structure: a PBE-relaxed structure.
Kinematic intensities with the Lorentz-polarization factor, no thermal factor.

```
data_CaAgN
_space_group_name_H-M_alt 'P -6 m 2'
_space_group_IT_number 187
_space_group_name_Hall 'P -6 2'
_cell_length_a 4.1437
_cell_length_b 4.1437
_cell_length_c 4.2001
_cell_angle_alpha 90.00
_cell_angle_beta 90.00
_cell_angle_gamma 120.00
loop_
_atom_site_label
_atom_site_fract_x
_atom_site_fract_y
_atom_site_fract_z
_atom_site_occupancy
Ca1 0.0000 0.0000 0.0000 1
Ag1 0.6667 0.3333 0.5000 1
N1 0.6667 0.3333 0.0000 1
```

Top 6 peaks for 10 to 90 degrees two-theta, in order of rising 2θ:
2θ (°)  I_rel  h k l
24.8  829  1 0 0
32.8  1000  1 0 1
43.7  389  1 1 0
50.3  218  1 0 2
55.7  212  2 0 1
63.0  237  1 1 2



# 3
This entry pairs a crystal structure of Ca2Ag2O5 with its simulated X-ray powder pattern. Radiation: Cu Kα (λ = 1.5418 Å). Structure: a PBE-relaxed structure.
Kinematic intensities with the Lorentz-polarization factor, no thermal factor.

```
data_Ca2Ag2O5
_space_group_name_H-M_alt 'P b a m'
_space_group_IT_number 55
_cell_length_a 5.9629
_cell_length_b 9.8449
_cell_length_c 4.0924
_cell_angle_alpha 90.00
_cell_angle_beta 90.00
_cell_angle_gamma 90.00
loop_
_space_group_symop_operation_xyz
'x,y,z'
'-x,-y,-z'
'-x,-y,z'
'x,y,-z'
'x+1/2,-y+1/2,-z'
'-x+1/2,y+1/2,z'
'-x+1/2,y+1/2,-z'
'x+1/2,-y+1/2,z'
loop_
_atom_site_label
_atom_site_fract_x
_atom_site_fract_y
_atom_site_fract_z
_atom_site_occupancy
Ca1 0.1561 0.1390 0.0000 1
Ag1 0.1915 0.3995 0.5000 1
O1 0.0000 0.0000 0.5000 1
O2 0.1282 0.6800 0.5000 1
O3 0.2406 0.3857 0.0000 1
```

Top 6 peaks for 10 to 90 degrees two-theta, in order of rising 2θ:
2θ (°)  I_rel  h k l
21.7  349  0 0 1
23.4  500  1 2 0
30.0  304  2 0 0
32.2  1000  1 2 1
36.5  302  0 4 0
44.3  317  0 0 2



# 4
This entry pairs a crystal structure of CaSi2Ag8O8 with its simulated X-ray powder pattern. Radiation: Cu Kα (λ = 1.5418 Å). Structure: a PBE-relaxed structure.
Kinematic intensities with the Lorentz-polarization factor, no thermal factor.

```
data_CaSi2Ag8O8
_space_group_name_H-M_alt 'P 1 2 1'
_space_group_IT_number 3
_cell_length_a 6.9352
_cell_length_b 6.2631
_cell_length_c 7.4822
_cell_angle_alpha 90.00
_cell_angle_beta 92.57
_cell_angle_gamma 90.00
loop_
_space_group_symop_operation_xyz
'x,y,z'
'-x,y,-z'
loop_
_atom_site_label
_atom_site_fract_x
_atom_site_fract_y
_atom_site_fract_z
_atom_site_occupancy
Ca1 0.0000 0.0000 0.0000 1
Si1 0.0000 0.2329 0.5000 1
Si2 0.5000 0.9758 0.0000 1
Ag1 0.3064 0.5352 0.7893 1
Ag2 0.3135 0.9343 0.6129 1
Ag3 0.3320 0.6998 0.3220 1
Ag4 0.3750 0.2544 0.3293 1
O1 0.0074 0.0884 0.3131 1
O2 0.1914 0.3958 0.5162 1
O3 0.3042 0.8235 0.0290 1
O4 0.4163 0.1462 0.8457 1
```

Top 6 peaks for 10 to 90 degrees two-theta, in order of rising 2θ:
2θ (°)  I_rel  h k l
11.8  581  0 0 1
12.8  1000  1 0 0
33.4  495  1 2 -1
33.8  373  1 2 1
39.0  472  3 0 0
40.3  358  2 2 -1



# 5
This entry pairs a crystal structure of CaSi2Ag8O8 with its simulated X-ray powder pattern. Radiation: Cu Kα (λ = 1.5418 Å). Structure: a PBE-relaxed structure.
Kinematic intensities with the Lorentz-polarization factor, no thermal factor.

```
data_CaSi2Ag8O8
_space_group_name_H-M_alt 'P -4'
_space_group_IT_number 81
_cell_length_a 7.5617
_cell_length_b 7.5617
_cell_length_c 5.7134
_cell_angle_alpha 90.00
_cell_angle_beta 90.00
_cell_angle_gamma 90.00
loop_
_space_group_symop_operation_xyz
'x,y,z'
'y,-x,-z'
'-x,-y,z'
'-y,x,-z'
loop_
_atom_site_label
_atom_site_fract_x
_atom_site_fract_y
_atom_site_fract_z
_atom_site_occupancy
Ca1 0.0000 0.0000 0.0000 1
Si1 0.0000 0.0000 0.5000 1
Si2 0.5000 0.5000 0.0000 1
Ag1 0.1410 0.6215 0.8623 1
Ag2 0.2560 0.3694 0.5158 1
O1 0.0413 0.1687 0.6780 1
O2 0.3170 0.5260 0.1625 1
```

Top 6 peaks for 10 to 90 degrees two-theta, in order of rising 2θ:
2θ (°)  I_rel  h k l
19.5  501  1 0 1
26.4  260  2 1 0
30.7  1000  1 2 1
40.9  425  1 3 1
41.4  224  1 2 2
43.1  270  3 2 0



# 6
This entry pairs a crystal structure of Ca3Si4Ag2O14 with its simulated X-ray powder pattern. Radiation: Cu Kα (λ = 1.5418 Å). Structure: a PBE-relaxed structure.
Kinematic intensities with the Lorentz-polarization factor, no thermal factor.

```
data_Ca3Si4Ag2O14
_space_group_name_H-M_alt 'C 1 2/c 1'
_space_group_IT_number 15
_cell_length_a 17.3778
_cell_length_b 7.8648
_cell_length_c 10.4100
_cell_angle_alpha 90.00
_cell_angle_beta 121.96
_cell_angle_gamma 90.00
loop_
_space_group_symop_operation_xyz
'x,y,z'
'-x,-y,-z'
'-x,y,-z+1/2'
'x,-y,z+1/2'
'x+1/2,y+1/2,z'
'-x+1/2,-y+1/2,-z'
'-x+1/2,y+1/2,-z+1/2'
'x+1/2,-y+1/2,z+1/2'
loop_
_atom_site_label
_atom_site_fract_x
_atom_site_fract_y
_atom_site_fract_z
_atom_site_occupancy
Ca1 0.0000 0.1586 0.2500 1
Ca2 0.1960 0.4556 0.4634 1
Si1 0.1276 0.1424 0.6402 1
Si2 0.1860 0.2223 0.1708 1
Ag1 0.0000 0.2726 0.7500 1
Ag2 0.0000 0.5000 0.0000 1
O1 0.0529 0.0787 0.6806 1
O2 0.0659 0.4636 0.7219 1
O3 0.0921 0.2640 0.4941 1
O4 0.1197 0.3596 0.0412 1
O5 0.1717 0.0262 0.1010 1
O6 0.1870 0.2165 0.3267 1
O7 0.2130 0.2240 0.8009 1
```

Top 6 peaks for 10 to 90 degrees two-theta, in order of rising 2θ:
2θ (°)  I_rel  h k l
12.0  865  2 0 0
12.8  742  1 1 0
26.5  770  1 1 2
30.4  883  0 2 2
31.6  1000  4 2 -2
38.6  698  6 2 -2



# 7
This entry pairs a crystal structure of CaAgPb with its simulated X-ray powder pattern. Radiation: Cu Kα (λ = 1.5418 Å). Structure: a PBE-relaxed structure.
Kinematic intensities with the Lorentz-polarization factor, no thermal factor.

```
data_CaAgPb
_space_group_name_H-M_alt 'P 3 m 1'
_space_group_IT_number 156
_cell_length_a 4.9680
_cell_length_b 4.9680
_cell_length_c 11.2240
_cell_angle_alpha 90.00
_cell_angle_beta 90.00
_cell_angle_gamma 120.00
loop_
_space_group_symop_operation_xyz
'x,y,z'
'-y,x-y,z'
'-x+y,-x,z'
'-y,-x,z'
'-x+y,y,z'
'x,x-y,z'
loop_
_atom_site_label
_atom_site_fract_x
_atom_site_fract_y
_atom_site_fract_z
_atom_site_occupancy
Ca1 0.0000 0.0000 0.0000 1
Ca2 0.0000 0.0000 0.3319 1
Ca3 0.0000 0.0000 0.6638 1
Ag1 0.3333 0.6667 0.1359 1
Ag2 0.3333 0.6667 0.5244 1
Ag3 0.6667 0.3333 0.8309 1
Pb1 0.3333 0.6667 0.8334 1
Pb2 0.6667 0.3333 0.1817 1
Pb3 0.6667 0.3333 0.4832 1
```

Top 6 peaks for 10 to 90 degrees two-theta, in order of rising 2θ:
2θ (°)  I_rel  h k l
20.6  430  1 0 0
23.8  496  0 0 3
31.7  841  0 1 3
36.2  1000  1 1 0
43.7  617  1 1 3
62.1  280  1 1 6



# 8
This entry pairs a crystal structure of Ca2AgPd2 with its simulated X-ray powder pattern. Radiation: Cu Kα (λ = 1.5418 Å). Structure: a PBE-relaxed structure.
Kinematic intensities with the Lorentz-polarization factor, no thermal factor.

```
data_Ca2AgPd2
_space_group_name_H-M_alt 'I m m m'
_space_group_IT_number 71
_space_group_name_Hall '-I 2 2'
_cell_length_a 4.5313
_cell_length_b 5.8598
_cell_length_c 8.4888
_cell_angle_alpha 90.00
_cell_angle_beta 90.00
_cell_angle_gamma 90.00
loop_
_atom_site_label
_atom_site_fract_x
_atom_site_fract_y
_atom_site_fract_z
_atom_site_occupancy
Ca1 0.0000 0.0000 0.2021 1
Ag1 0.0000 0.5000 0.0000 1
Pd1 0.0000 0.2690 0.5000 1
```

Top 6 peaks for 10 to 90 degrees two-theta, in order of rising 2θ:
2θ (°)  I_rel  h k l
20.9  650  0 0 2
32.7  548  1 1 2
38.1  1000  1 2 1
39.8  310  2 0 0
49.1  263  1 2 3
67.0  241  1 2 5



# 9
This entry pairs a crystal structure of CaPmAg2 with its simulated X-ray powder pattern. Radiation: Cu Kα (λ = 1.5418 Å). Structure: a PBE-relaxed structure.
Kinematic intensities with the Lorentz-polarization factor, no thermal factor.

```
data_CaPmAg2
_space_group_name_H-M_alt 'F m -3 m'
_space_group_IT_number 225
_space_group_name_Hall '-F 4 2 3'
_cell_length_a 7.4313
_cell_length_b 7.4313
_cell_length_c 7.4313
_cell_angle_alpha 90.00
_cell_angle_beta 90.00
_cell_angle_gamma 90.00
loop_
_atom_site_label
_atom_site_fract_x
_atom_site_fract_y
_atom_site_fract_z
_atom_site_occupancy
Ca1 0.0000 0.0000 0.0000 1
Pm1 0.0000 0.0000 0.5000 1
Ag1 0.2500 0.2500 0.2500 1
```

Top 6 peaks for 10 to 90 degrees two-theta, in order of rising 2θ:
2θ (°)  I_rel  h k l
20.7  144  1 1 1
34.1  1000  2 2 0
49.0  174  4 0 0
61.1  350  4 2 2
71.9  107  4 4 0
82.0  149  6 2 0